(1)
Structure and theoretical powder diffractogram of CsGa9Au5 (a structure optimized by DFT (GGA-PBE); copper Kα).
Neutral-atom scattering factors, no anomalous dispersion.

```
CsGa9Au5
1.0
7.8284 0.0000 0.0000
-3.9142 6.7796 0.0000
0.0000 0.0000 12.4185
Cs Ga Au
2 18 10
direct
0.0000 0.0000 0.0000
0.0000 0.0000 0.5000
0.0772 0.5386 0.0978
0.0772 0.5386 0.4022
0.1942 0.3884 0.7500
0.1942 0.8058 0.7500
0.3884 0.1942 0.2500
0.4614 0.5386 0.0978
0.4614 0.5386 0.4022
0.4614 0.9228 0.0978
0.4614 0.9228 0.4022
0.5386 0.0772 0.5978
0.5386 0.0772 0.9022
0.5386 0.4614 0.5978
0.5386 0.4614 0.9022
0.6116 0.8058 0.7500
0.8058 0.1942 0.2500
0.8058 0.6116 0.2500
0.9228 0.4614 0.5978
0.9228 0.4614 0.9022
0.1903 0.3806 0.2500
0.1903 0.8097 0.2500
0.3333 0.6667 0.5833
0.3333 0.6667 0.9167
0.3806 0.1903 0.7500
0.6194 0.8097 0.2500
0.6667 0.3333 0.0833
0.6667 0.3333 0.4167
0.8097 0.1903 0.7500
0.8097 0.6194 0.7500
```

Main lines, low angle first (2θ from 10° to 90°):
(1 0 0), 13.06°, intensity 51
(1 0 3), 25.21°, intensity 53
(1 1 2), 26.93°, intensity 100
(2 0 1), 27.27°, intensity 76
(2 0 2), 30.03°, intensity 78
(2 1 2), 37.99°, intensity 47
(2 1 3), 41.44°, intensity 85
(2 1 4), 45.92°, intensity 87
(2 2 0), 46.40°, intensity 73
(5 0 4), 76.66°, intensity 51

***

(2)
Structure and theoretical powder diffractogram of Hg (a structure optimized by DFT (GGA-PBE); copper Kα).
Neutral-atom scattering factors, no anomalous dispersion.

```
Hg
1.0
3.5798 0.0000 0.0000
-1.7899 3.1002 0.0000
0.0000 0.0000 5.7347
Hg
2
direct
0.3333 0.6667 0.2500
0.6667 0.3333 0.7500
```

Main lines, low angle first (2θ from 10° to 90°):
(1 0 0), 28.80°, intensity 23
(0 0 2), 31.19°, intensity 25
(1 0 1), 32.84°, intensity 100
(1 0 2), 42.97°, intensity 16
(1 1 0), 51.02°, intensity 20
(1 0 3), 56.56°, intensity 22
(1 1 2), 61.03°, intensity 23
(2 0 1), 62.02°, intensity 17
(2 1 1), 84.37°, intensity 15
(1 1 4), 87.09°, intensity 9